The following is a calculated powder X-ray diffraction pattern of NaMnAsO4. It was derived from a crystal structure in Alexandria, relaxed with PBE+U, using λ = 1.5418 Å (Cu Kα).
Intensities are scaled so that the largest is 100.

Structural model:
Lattice parameters (Å, degrees): 11.025 6.474 5.250 90.00 90.00 90.00
Space group Pnma (No. 62)
One atom of each set of equivalent atoms:
Na (0.000, 0.000, 0.000) x4
Mn (0.219, 0.250, 0.497) x4
As (0.104, 0.750, 0.444) x4
O (0.043, 0.250, 0.671) x4
O (0.111, 0.750, 0.769) x4
O (0.177, 0.543, 0.297) x8

Main lines, by intensity (10° ≤ 2θ ≤ 90°):
hkl, 2theta, Rel. int.
3 1 1, 32.81, 100
1 2 1, 33.52, 77
2 1 0, 21.17, 66
1 0 1, 18.72, 56
0 2 0, 27.56, 46
3 0 1, 29.67, 44
3 3 1, 52.15, 27
2 2 2, 47.55, 21
1 1 2, 37.88, 20
6 1 0, 51.71, 20